[1]
# LiGd2Os
Calculated powder diffractogram, CuKα. Input: a crystal structure in the Materials Project, relaxed with GGA-PBE.
Neutral-atom scattering factors, no anomalous dispersion.

The 10 most intense peaks (2θ from 10° to 90°), in order of rising 2θ:
2θ (°), Rel. int., hkl
22.1, 31, 1 1 1
25.5, 7, 2 0 0
36.4, 100, 2 2 0
43.0, 17, 3 1 1
52.4, 18, 4 0 0
57.6, 7, 3 3 1
65.5, 36, 4 2 2
77.3, 11, 4 4 0
81.6, 5, 5 3 1
88.6, 17, 6 2 0

Crystal structure
a = 6.9802 Å, b = 6.9802 Å, c = 6.9802 Å
α = 90.00°, β = 90.00°, γ = 90.00°
Space group Fm-3m (No. 225)
Asymmetric unit:
1 Li 0.0000 0.0000 0.0000 (multiplicity 4)
2 Gd 0.2500 0.2500 0.2500 (multiplicity 8)
3 Os 0.0000 0.0000 0.5000 (multiplicity 4)

[2]
# LiGdS2
Calculated powder diffractogram, CuKα. Input: a crystal structure in the Materials Project, relaxed with GGA-PBE.
Neutral-atom scattering factors, no anomalous dispersion.

The 10 most intense peaks (2θ from 10° to 90°), in order of rising 2θ:
2θ (°), Rel. int., hkl
16.5, 100, 0 0 1
22.4, 99, 1 0 0
27.9, 43, 1 0 1
31.8, 94, 1 1 0
33.4, 41, 0 0 2
36.1, 59, 1 1 1
40.5, 42, 1 0 2
45.6, 34, 2 0 0
46.8, 62, 1 1 2
57.7, 33, 2 0 2

Crystal structure
a = 3.9756 Å, b = 3.9756 Å, c = 5.3690 Å
α = 90.00°, β = 90.00°, γ = 90.00°
Space group P4/mmm (No. 123)
Asymmetric unit:
1 Li 0.0000 0.0000 0.0000 (multiplicity 1)
2 Gd 0.5000 0.5000 0.5000 (multiplicity 1)
3 S 0.0000 0.0000 0.5000 (multiplicity 1)
4 S 0.5000 0.5000 0.0000 (multiplicity 1)

[3]
# LiGdS2
Calculated powder diffractogram, CuKα. Input: a crystal structure in the Materials Project, relaxed with GGA-PBE.
Neutral-atom scattering factors, no anomalous dispersion.

The 10 most intense peaks (2θ from 10° to 90°), in order of rising 2θ:
2θ (°), Rel. int., hkl
14.4, 100, 0 0 3
26.4, 74, 1 0 1
27.7, 24, 0 1 2
32.5, 99, 1 0 4
35.7, 34, 0 1 5
43.2, 19, 1 0 7
45.8, 37, 1 1 0
47.5, 33, 0 1 8
48.2, 29, 1 1 3
57.3, 19, 0 2 4

Crystal structure
a = 3.9631 Å, b = 3.9631 Å, c = 18.4738 Å
α = 90.00°, β = 90.00°, γ = 120.00°
Space group R-3m (No. 166, hexagonal axes)
Asymmetric unit:
1 Li 0.0000 0.0000 0.0000 (multiplicity 3)
2 Gd 0.0000 0.0000 0.5000 (multiplicity 3)
3 S 0.0000 0.0000 0.2503 (multiplicity 6)

[4]
# LiGdSn
Calculated powder diffractogram, CuKα. Input: a crystal structure in the Materials Project, relaxed with GGA-PBE.
Neutral-atom scattering factors, no anomalous dispersion.

The 10 most intense peaks (2θ from 10° to 90°), in order of rising 2θ:
2θ (°), Rel. int., hkl
21.7, 24, 2 0 0
24.8, 44, 2 0 1
32.5, 100, 2 0 2
38.1, 54, 2 2 0
42.6, 10, 2 0 3
46.0, 9, 4 0 1
50.9, 26, 4 0 2
63.6, 21, 2 2 4
65.3, 23, 4 2 2
68.8, 8, 6 0 0

Crystal structure
a = 9.4548 Å, b = 9.4548 Å, c = 7.4555 Å
α = 90.00°, β = 90.00°, γ = 120.00°
Space group P6_3mc (No. 186)
Asymmetric unit:
1 Li 0.1672 0.3345 0.0000 (multiplicity 6)
2 Li 0.3333 0.6667 0.6255 (multiplicity 2)
3 Gd 0.0000 0.0000 0.2883 (multiplicity 2)
4 Gd 0.0266 0.5133 0.2951 (multiplicity 6)
5 Sn 0.1667 0.3335 0.5622 (multiplicity 6)
6 Sn 0.3333 0.6667 0.0215 (multiplicity 2)

[5]
# GdLuO3
Calculated powder diffractogram, CuKα. Input: a crystal structure in the Materials Project, relaxed with GGA-PBE.
Neutral-atom scattering factors, no anomalous dispersion.

The 10 most intense peaks (2θ from 10° to 90°), in order of rising 2θ:
2θ (°), Rel. int., hkl
30.1, 22, 2 0 0
30.7, 100, 1 2 1
31.5, 23, 0 0 2
43.8, 12, 0 4 0
44.2, 19, 2 0 2
53.9, 15, 3 2 1
54.1, 10, 2 4 0
55.0, 11, 0 4 2
55.7, 22, 1 2 3
64.0, 11, 2 4 2

Crystal structure
a = 5.9310 Å, b = 8.2643 Å, c = 5.6728 Å
α = 90.00°, β = 90.00°, γ = 90.00°
Space group Pnma (No. 62)
Asymmetric unit:
1 Gd 0.0543 0.2500 0.0137 (multiplicity 4)
2 Lu 0.0000 0.0000 0.5000 (multiplicity 4)
3 O 0.0652 0.7500 0.3667 (multiplicity 4)
4 O 0.1861 0.5691 0.8178 (multiplicity 8)

[6]
# GdLu3S6
Calculated powder diffractogram, CuKα. Input: a crystal structure in the Materials Project, relaxed with GGA-PBE.
Neutral-atom scattering factors, no anomalous dispersion.

The 10 most intense peaks (2θ from 10° to 90°), in order of rising 2θ:
2θ (°), Rel. int., hkl
24.0, 79, 1 0 -3
24.5, 100, 3 0 -1
26.8, 63, 1 1 1
27.9, 47, 2 0 2
28.1, 52, 1 1 -2
31.6, 67, 2 1 1
34.8, 51, 3 1 0
43.0, 72, 4 1 -3
44.7, 38, 1 1 4
46.6, 43, 0 2 0

Crystal structure
a = 10.8990 Å, b = 3.8991 Å, c = 11.1429 Å
α = 90.00°, β = 108.94°, γ = 90.00°
Space group P2_1/m (No. 11)
Asymmetric unit:
1 Gd 0.0469 0.2500 0.1937 (multiplicity 2)
2 Lu 0.1607 0.2500 0.5856 (multiplicity 2)
3 Lu 0.3187 0.7500 0.9984 (multiplicity 2)
4 Lu 0.4378 0.2500 0.3328 (multiplicity 2)
5 S 0.0817 0.7500 0.4055 (multiplicity 2)
6 S 0.1155 0.2500 0.9635 (multiplicity 2)
7 S 0.1953 0.7500 0.7492 (multiplicity 2)
8 S 0.2615 0.7500 0.2264 (multiplicity 2)
9 S 0.3954 0.2500 0.5604 (multiplicity 2)
10 S 0.4771 0.2500 0.1123 (multiplicity 2)

[7]
# GdMg
Calculated powder diffractogram, CuKα. Input: a crystal structure in the Materials Project, relaxed with GGA-PBE.
Neutral-atom scattering factors, no anomalous dispersion.

The 10 most intense peaks (2θ from 10° to 90°), in order of rising 2θ:
2θ (°), Rel. int., hkl
23.2, 62, 1 0 0
33.1, 100, 1 1 0
40.8, 19, 1 1 1
47.5, 18, 2 0 0
53.5, 26, 2 1 0
59.1, 38, 2 1 1
69.5, 12, 2 2 0
74.4, 13, 3 0 0
79.1, 16, 3 1 0
83.8, 8, 3 1 1

Crystal structure
a = 3.8269 Å, b = 3.8269 Å, c = 3.8269 Å
α = 90.00°, β = 90.00°, γ = 90.00°
Space group Pm-3m (No. 221)
Asymmetric unit:
1 Gd 0.0000 0.0000 0.0000 (multiplicity 1)
2 Mg 0.5000 0.5000 0.5000 (multiplicity 1)

[8]
# GdMg3
Calculated powder diffractogram, CuKα. Input: a crystal structure in the Materials Project, relaxed with GGA-PBE.
Neutral-atom scattering factors, no anomalous dispersion.

The 10 most intense peaks (2θ from 10° to 90°), in order of rising 2θ:
2θ (°), Rel. int., hkl
21.2, 72, 1 1 1
24.5, 38, 2 0 0
34.9, 100, 2 2 0
41.2, 39, 3 1 1
50.2, 18, 4 0 0
55.0, 17, 3 3 1
56.6, 16, 4 2 0
62.6, 36, 4 2 2
66.9, 13, 5 1 1
84.2, 15, 6 2 0

Crystal structure
a = 7.2715 Å, b = 7.2715 Å, c = 7.2715 Å
α = 90.00°, β = 90.00°, γ = 90.00°
Space group Fm-3m (No. 225)
Asymmetric unit:
1 Gd 0.0000 0.0000 0.0000 (multiplicity 4)
2 Mg 0.0000 0.0000 0.5000 (multiplicity 4)
3 Mg 0.2500 0.2500 0.2500 (multiplicity 8)

[9]
# Gd2Mg
Calculated powder diffractogram, CuKα. Input: a crystal structure in the Materials Project, relaxed with GGA-PBE.
Neutral-atom scattering factors, no anomalous dispersion.

The 10 most intense peaks (2θ from 10° to 90°), in order of rising 2θ:
2θ (°), Rel. int., hkl
10.2, 17, 0 2 0
24.4, 17, 1 1 0
26.0, 27, 0 4 1
30.9, 21, 0 6 0
32.2, 29, 0 0 2
32.8, 100, 1 3 1
45.2, 15, 0 6 2
55.4, 14, 0 10 1
56.1, 15, 1 9 1
57.7, 20, 1 3 3

Crystal structure
a = 3.7310 Å, b = 17.3831 Å, c = 5.5649 Å
α = 90.00°, β = 90.00°, γ = 90.00°
Space group Cmcm (No. 63)
Asymmetric unit:
1 Gd 0.0000 0.0915 0.2500 (multiplicity 4)
2 Gd 0.0000 0.2270 0.7500 (multiplicity 4)
3 Mg 0.0000 0.4332 0.2500 (multiplicity 4)

[10]
# Gd2MgNi2
Calculated powder diffractogram, CuKα. Input: a crystal structure in the Materials Project, relaxed with GGA-PBE.
Neutral-atom scattering factors, no anomalous dispersion.

The 10 most intense peaks (2θ from 10° to 90°), in order of rising 2θ:
2θ (°), Rel. int., hkl
17.0, 19, 1 1 0
24.2, 15, 2 0 0
27.1, 19, 2 1 0
33.9, 28, 2 0 1
36.1, 100, 2 1 1
38.6, 22, 3 1 0
47.9, 12, 0 0 2
51.1, 16, 4 1 0
57.0, 17, 4 1 1
72.7, 11, 4 1 2

Crystal structure
a = 7.3670 Å, b = 7.3670 Å, c = 3.7980 Å
α = 90.00°, β = 90.00°, γ = 90.00°
Space group P4/mbm (No. 127)
Asymmetric unit:
1 Gd 0.1745 0.3255 0.0000 (multiplicity 4)
2 Mg 0.0000 0.0000 0.5000 (multiplicity 2)
3 Ni 0.1200 0.6200 0.5000 (multiplicity 4)

[11]
# Gd2Mg2O5
Calculated powder diffractogram, CuKα. Input: a crystal structure in the Materials Project, relaxed with GGA-PBE.
Neutral-atom scattering factors, no anomalous dispersion.

The 10 most intense peaks (2θ from 10° to 90°), in order of rising 2θ:
2θ (°), Rel. int., hkl
22.8, 64, 1 0 0
24.4, 23, 0 0 2
32.5, 45, 1 1 0
33.6, 100, 1 0 2
41.0, 52, 1 1 2
46.6, 32, 2 0 0
52.5, 14, 2 1 0
58.7, 41, 2 1 2
60.8, 20, 1 1 4
70.7, 15, 2 0 4

Crystal structure
a = 3.8995 Å, b = 3.8995 Å, c = 7.3036 Å
α = 90.00°, β = 90.00°, γ = 90.00°
Space group P4/mmm (No. 123)
Asymmetric unit:
1 Gd 0.0000 0.0000 0.0000 (multiplicity 1)
2 Gd 0.0000 0.0000 0.5000 (multiplicity 1)
3 Mg 0.5000 0.5000 0.2399 (multiplicity 2)
4 O 0.0000 0.5000 0.2012 (multiplicity 4)
5 O 0.5000 0.5000 0.5000 (multiplicity 1)